The following is a theoretical powder XRD pattern of K2Na2Nd2MgNb2O10. It was derived from a cell relaxed with PBE, using Cu Kα (weighted mean of Kα1 and Kα2).

Crystal structure
a = 5.952 Å, b = 5.954 Å, c = 8.723 Å
α = 89.90°, β = 89.67°, γ = 86.70°
Positions (direct):
K 0.000 0.000 0.000
K 0.386 0.388 0.994
Na 0.463 0.930 0.305
Na 0.995 0.391 0.762
Nd 0.536 0.413 0.526
Nd 0.978 0.855 0.527
Mg 0.741 0.639 0.133
Nb 0.042 0.350 0.329
Nb 0.502 0.886 0.780
O 0.239 0.152 0.453
O 0.239 0.601 0.368
O 0.269 0.115 0.790
O 0.287 0.674 0.698
O 0.557 0.830 0.998
O 0.712 0.102 0.698
O 0.735 0.654 0.687
O 0.751 0.640 0.351
O 0.791 0.152 0.368
O 0.970 0.419 0.090

Top 12 peaks for 10 to 90 degrees two-theta, in order of falling intensity:
2θ = 10.14°, I 100; 2θ = 29.97°, I 77; 2θ = 18.05°, I 51; 2θ = 30.07°, I 44; 2θ = 29.14°, I 36; 2θ = 28.99°, I 35; 2θ = 22.94°, I 26; 2θ = 41.73°, I 21; 2θ = 24.06°, I 19; 2θ = 44.33°, I 19; 2θ = 52.15°, I 18; 2θ = 34.48°, I 18

***

The following is a theoretical powder XRD pattern of K2Na2Nd2MgNb2O10. It was derived from a cell relaxed with PBE, using Cu Kα (weighted mean of Kα1 and Kα2).

Crystal structure
a = 5.677 Å, b = 5.677 Å, c = 9.420 Å
α = 90.00°, β = 90.00°, γ = 90.00°
Positions (direct):
K 0.000 0.500 0.000
K 0.500 0.000 0.000
Na 0.000 0.000 0.208
Na 0.500 0.500 0.822
Nd 0.000 0.500 0.581
Nd 0.500 0.000 0.581
Mg 0.000 0.000 0.457
Nb 0.000 0.000 0.775
Nb 0.500 0.500 0.336
O 0.000 0.000 0.986
O 0.244 0.244 0.736
O 0.244 0.756 0.736
O 0.260 0.260 0.403
O 0.260 0.740 0.403
O 0.500 0.500 0.137
O 0.740 0.260 0.403
O 0.740 0.740 0.403
O 0.756 0.244 0.736
O 0.756 0.756 0.736

Top 12 peaks for 10 to 90 degrees two-theta, in order of falling intensity:
2θ = 29.23°, I 100; 2θ = 31.52°, I 43; 2θ = 45.18°, I 34; 2θ = 54.72°, I 33; 2θ = 36.32°, I 32; 2θ = 18.25°, I 27; 2θ = 24.10°, I 27; 2θ = 59.30°, I 15; 2θ = 50.35°, I 14; 2θ = 42.95°, I 12; 2θ = 58.83°, I 10; 2θ = 65.80°, I 10

***

The following is a theoretical powder XRD pattern of K2Na2Nd2MgNb2O10. It was derived from a cell relaxed with PBE, using Cu Kα (weighted mean of Kα1 and Kα2).

Crystal structure
a = 5.717 Å, b = 5.798 Å, c = 9.351 Å
α = 90.00°, β = 90.00°, γ = 90.00°
Positions (direct):
K 0.000 0.000 0.000
K 0.500 0.500 0.076
Na 0.000 0.500 0.326
Na 0.500 0.000 0.840
Nd 0.000 0.000 0.625
Nd 0.500 0.500 0.566
Mg 0.000 0.000 0.332
Nb 0.000 0.500 0.814
Nb 0.500 0.000 0.338
O 0.000 0.500 0.012
O 0.235 0.268 0.750
O 0.235 0.732 0.750
O 0.255 0.225 0.427
O 0.255 0.775 0.427
O 0.500 0.000 0.135
O 0.745 0.225 0.427
O 0.745 0.775 0.427
O 0.765 0.268 0.750
O 0.765 0.732 0.750

Top 12 peaks for 10 to 90 degrees two-theta, in order of falling intensity:
2θ = 29.09°, I 100; 2θ = 44.52°, I 35; 2θ = 23.84°, I 31; 2θ = 18.19°, I 26; 2θ = 30.85°, I 23; 2θ = 31.29°, I 22; 2θ = 53.77°, I 18; 2θ = 36.30°, I 18; 2θ = 54.34°, I 17; 2θ = 32.62°, I 14; 2θ = 50.43°, I 13; 2θ = 50.13°, I 12

***

The following is a theoretical powder XRD pattern of K2Na2Nd2MgNb2O10. It was derived from a cell relaxed with PBE, using Cu Kα (weighted mean of Kα1 and Kα2).

Crystal structure
a = 5.913 Å, b = 5.764 Å, c = 8.790 Å
α = 90.00°, β = 95.35°, γ = 90.00°
Positions (direct):
K 0.000 0.000 0.000
K 0.428 0.500 0.091
Na 0.126 0.500 0.738
Na 0.484 0.000 0.239
Nd 0.002 0.000 0.498
Nd 0.495 0.500 0.483
Mg 0.708 0.500 0.826
Nb 0.522 0.000 0.743
Nb 0.961 0.500 0.252
O 0.201 0.270 0.305
O 0.201 0.730 0.305
O 0.304 0.223 0.620
O 0.304 0.777 0.620
O 0.492 0.000 0.954
O 0.750 0.271 0.334
O 0.750 0.729 0.334
O 0.779 0.236 0.686
O 0.779 0.764 0.686
O 0.910 0.500 0.032

Top 12 peaks for 10 to 90 degrees two-theta, in order of falling intensity:
2θ = 10.11°, I 100; 2θ = 30.77°, I 88; 2θ = 28.78°, I 81; 2θ = 43.97°, I 43; 2θ = 31.03°, I 38; 2θ = 24.48°, I 33; 2θ = 18.43°, I 32; 2θ = 36.57°, I 31; 2θ = 30.37°, I 27; 2θ = 23.26°, I 24; 2θ = 44.54°, I 21; 2θ = 52.51°, I 19

***

The following is a theoretical powder XRD pattern of K2Na2Pr2MgNb2O10. It was derived from a cell relaxed with PBE, using Cu Kα (weighted mean of Kα1 and Kα2).

Crystal structure
a = 5.696 Å, b = 5.696 Å, c = 9.439 Å
α = 90.00°, β = 90.00°, γ = 90.00°
Positions (direct):
K 0.000 0.500 0.000
K 0.500 0.000 0.000
Na 0.000 0.000 0.175
Na 0.500 0.500 0.790
Pr 0.000 0.500 0.417
Pr 0.500 0.000 0.417
Mg 0.500 0.500 0.541
Nb 0.000 0.000 0.662
Nb 0.500 0.500 0.221
O 0.000 0.000 0.861
O 0.239 0.239 0.596
O 0.239 0.761 0.596
O 0.256 0.256 0.259
O 0.256 0.744 0.259
O 0.500 0.500 0.011
O 0.744 0.256 0.259
O 0.744 0.744 0.259
O 0.761 0.239 0.596
O 0.761 0.761 0.596

Top 12 peaks for 10 to 90 degrees two-theta, in order of falling intensity:
2θ = 29.15°, I 100; 2θ = 31.41°, I 43; 2θ = 45.02°, I 34; 2θ = 54.53°, I 33; 2θ = 36.23°, I 32; 2θ = 18.19°, I 28; 2θ = 24.02°, I 27; 2θ = 59.10°, I 15; 2θ = 50.21°, I 14; 2θ = 42.83°, I 13; 2θ = 65.55°, I 10; 2θ = 58.67°, I 10

***

The following is a theoretical powder XRD pattern of K2Na2Pr2MgNb2O10. It was derived from a cell relaxed with PBE, using Cu Kα (weighted mean of Kα1 and Kα2).

Crystal structure
a = 5.953 Å, b = 5.822 Å, c = 8.790 Å
α = 90.00°, β = 96.71°, γ = 90.00°
Positions (direct):
K 0.000 0.000 0.000
K 0.376 0.500 0.065
Na 0.284 0.000 0.365
Na 0.896 0.500 0.843
Pr 0.354 0.500 0.594
Pr 0.914 0.000 0.605
Mg 0.651 0.000 0.230
Nb 0.438 0.000 0.807
Nb 0.844 0.500 0.330
O 0.060 0.277 0.442
O 0.060 0.723 0.442
O 0.181 0.241 0.777
O 0.181 0.759 0.777
O 0.449 0.000 0.036
O 0.600 0.267 0.363
O 0.600 0.733 0.363
O 0.639 0.233 0.734
O 0.639 0.767 0.734
O 0.883 0.500 0.122

Top 12 peaks for 10 to 90 degrees two-theta, in order of falling intensity:
2θ = 10.13°, I 100; 2θ = 30.93°, I 91; 2θ = 28.44°, I 75; 2θ = 30.73°, I 55; 2θ = 43.64°, I 38; 2θ = 44.03°, I 35; 2θ = 24.50°, I 35; 2θ = 36.22°, I 32; 2θ = 18.32°, I 30; 2θ = 17.10°, I 23; 2θ = 30.24°, I 23; 2θ = 22.97°, I 21

***

The following is a theoretical powder XRD pattern of K2Na2Pr2MgNb2O10. It was derived from a cell relaxed with PBE, using Cu Kα (weighted mean of Kα1 and Kα2).

Crystal structure
a = 5.729 Å, b = 5.823 Å, c = 9.274 Å
α = 90.00°, β = 90.00°, γ = 90.00°
Positions (direct):
K 0.000 0.000 0.000
K 0.500 0.500 0.081
Na 0.000 0.500 0.324
Na 0.500 0.000 0.849
Pr 0.000 0.000 0.628
Pr 0.500 0.500 0.570
Mg 0.000 0.000 0.333
Nb 0.000 0.500 0.822
Nb 0.500 0.000 0.338
O 0.000 0.500 0.023
O 0.234 0.269 0.757
O 0.234 0.731 0.757
O 0.255 0.224 0.428
O 0.255 0.776 0.428
O 0.500 0.000 0.134
O 0.745 0.224 0.428
O 0.745 0.776 0.428
O 0.766 0.269 0.757
O 0.766 0.731 0.757

Top 12 peaks for 10 to 90 degrees two-theta, in order of falling intensity:
2θ = 29.14°, I 100; 2θ = 44.36°, I 36; 2θ = 23.81°, I 33; 2θ = 18.20°, I 27; 2θ = 30.71°, I 24; 2θ = 31.22°, I 23; 2θ = 54.29°, I 18; 2θ = 53.63°, I 18; 2θ = 36.45°, I 17; 2θ = 50.64°, I 16; 2θ = 32.79°, I 16; 2θ = 50.31°, I 13

***

The following is a theoretical powder XRD pattern of K2Na2Pr2MgNb2O10. It was derived from a cell relaxed with PBE, using Cu Kα (weighted mean of Kα1 and Kα2).

Crystal structure
a = 5.985 Å, b = 5.985 Å, c = 8.689 Å
α = 90.21°, β = 90.21°, γ = 93.25°
Positions (direct):
K 0.194 0.806 0.000
K 0.806 0.194 0.000
Na 0.194 0.194 0.767
Na 0.729 0.729 0.305
Pr 0.212 0.655 0.531
Pr 0.655 0.212 0.531
Mg 0.443 0.443 0.136
Nb 0.150 0.150 0.332
Nb 0.688 0.688 0.787
O 0.220 0.220 0.092
O 0.400 0.952 0.370
O 0.440 0.440 0.354
O 0.455 0.455 0.696
O 0.477 0.902 0.705
O 0.634 0.634 0.005
O 0.902 0.477 0.705
O 0.919 0.919 0.794
O 0.951 0.951 0.453
O 0.952 0.400 0.370

Top 12 peaks for 10 to 90 degrees two-theta, in order of falling intensity:
2θ = 10.18°, I 100; 2θ = 29.88°, I 80; 2θ = 29.05°, I 77; 2θ = 18.00°, I 56; 2θ = 30.00°, I 50; 2θ = 41.54°, I 35; 2θ = 34.38°, I 35; 2θ = 52.12°, I 30; 2θ = 22.86°, I 28; 2θ = 51.96°, I 22; 2θ = 23.96°, I 22; 2θ = 31.65°, I 19

***

The following is a theoretical powder XRD pattern of KNaMg14O15. It was derived from a cell relaxed with PBE, using Cu Kα (weighted mean of Kα1 and Kα2).

Crystal structure
a = 4.411 Å, b = 8.779 Å, c = 8.643 Å
α = 90.00°, β = 90.00°, γ = 90.00°
Positions (direct):
K 0.000 0.000 0.000
Na 0.000 0.500 0.995
Mg 0.000 0.000 0.489
Mg 0.000 0.224 0.742
Mg 0.000 0.254 0.231
Mg 0.000 0.500 0.471
Mg 0.000 0.746 0.231
Mg 0.000 0.776 0.742
Mg 0.500 0.000 0.240
Mg 0.500 0.000 0.737
Mg 0.500 0.253 0.489
Mg 0.500 0.253 0.981
Mg 0.500 0.500 0.221
Mg 0.500 0.500 0.745
Mg 0.500 0.747 0.489
Mg 0.500 0.747 0.981
O 0.000 0.000 0.268
O 0.000 0.000 0.713
O 0.000 0.265 0.972
O 0.000 0.266 0.501
O 0.000 0.500 0.248
O 0.000 0.734 0.501
O 0.000 0.735 0.972
O 0.500 0.000 0.491
O 0.500 0.000 0.974
O 0.500 0.253 0.237
O 0.500 0.258 0.734
O 0.500 0.500 0.505
O 0.500 0.500 0.976
O 0.500 0.742 0.734
O 0.500 0.747 0.237

Top 12 peaks for 10 to 90 degrees two-theta, in order of falling intensity:
2θ = 40.92°, I 100; 2θ = 41.13°, I 93; 2θ = 41.81°, I 87; 2θ = 59.41°, I 54; 2θ = 59.93°, I 51; 2θ = 60.09°, I 48; 2θ = 75.27°, I 44; 2θ = 35.55°, I 42; 2θ = 72.28°, I 9; 2θ = 71.04°, I 9; 2θ = 88.70°, I 8; 2θ = 71.34°, I 8

***

The following is a theoretical powder XRD pattern of KNaMg14O15. It was derived from a cell relaxed with PBE, using Cu Kα (weighted mean of Kα1 and Kα2).

Crystal structure
a = 4.433 Å, b = 8.654 Å, c = 8.748 Å
α = 90.00°, β = 90.00°, γ = 90.00°
Positions (direct):
K 0.000 0.000 0.000
Na 0.000 0.500 0.486
Mg 0.000 0.000 0.490
Mg 0.000 0.225 0.732
Mg 0.000 0.250 0.257
Mg 0.000 0.500 0.010
Mg 0.000 0.750 0.257
Mg 0.000 0.775 0.732
Mg 0.500 0.000 0.246
Mg 0.500 0.000 0.735
Mg 0.500 0.252 0.493
Mg 0.500 0.252 0.979
Mg 0.500 0.500 0.244
Mg 0.500 0.500 0.740
Mg 0.500 0.748 0.493
Mg 0.500 0.748 0.979
O 0.000 0.000 0.267
O 0.000 0.000 0.717
O 0.000 0.243 0.496
O 0.000 0.284 0.954
O 0.000 0.500 0.234
O 0.000 0.716 0.954
O 0.000 0.757 0.496
O 0.500 0.000 0.492
O 0.500 0.000 0.971
O 0.500 0.251 0.237
O 0.500 0.259 0.733
O 0.500 0.500 0.503
O 0.500 0.500 0.980
O 0.500 0.741 0.733
O 0.500 0.749 0.237

Top 12 peaks for 10 to 90 degrees two-theta, in order of falling intensity:
2θ = 40.70°, I 100; 2θ = 41.75°, I 86; 2θ = 41.28°, I 86; 2θ = 59.73°, I 51; 2θ = 59.37°, I 50; 2θ = 60.16°, I 45; 2θ = 35.52°, I 44; 2θ = 75.19°, I 42; 2θ = 71.53°, I 10; 2θ = 72.18°, I 9; 2θ = 70.73°, I 9; 2θ = 10.22°, I 8